Starting from a DFT-relaxed cell (GGA-PBE, Alexandria), the powder XRD pattern of BaYGe was computed for a wavelength of 1.5418 Å.
Kinematic intensities with the Lorentz-polarization factor, no thermal factor.

Cell and atoms:
```
12
Lattice="7.3366 0.0000 0.0000 0.0000 7.6268 0.0000 0.0000 0.0000 7.3366" Properties=species:S:1:pos:R:3 pbc="T T T"
Ba 1.8341 0.0000 0.0069
Ba 1.8341 0.0000 3.6752
Ba 5.5024 0.0000 3.6614
Ba 5.5024 0.0000 7.3297
Y 1.8341 3.8134 7.3346
Y 1.8341 3.8134 3.6663
Y 5.5024 3.8134 0.0020
Y 5.5024 3.8134 3.6703
Ge 0.0000 2.2720 1.8342
Ge 0.0000 5.3548 5.5025
Ge 3.6683 2.2720 5.5025
Ge 3.6683 5.3548 1.8342
```

The 10 most intense peaks (2θ from 10° to 90°), by angle:
20.71°, 4.289 Å, I = 23; 23.33°, 3.813 Å, I = 21; 24.26°, 3.668 Å, I = 32; 33.91°, 2.644 Å, I = 100; 34.58°, 2.594 Å, I = 52; 42.13°, 2.145 Å, I = 17; 49.71°, 1.834 Å, I = 18; 54.22°, 1.692 Å, I = 12; 60.24°, 1.536 Å, I = 14; 61.54°, 1.507 Å, I = 35